[1]
Diffraction record for Sn3H2O4. The XRD peak list is simulated, not measured: it uses the GGA-PBE geometry in the Materials Project and Cu Kα (λ = 1.5418 Å).
Peak positions follow from Bragg's law for the DFT cell and can differ from measured ones.

Atomic structure:
a = 8.155 Å, b = 8.155 Å, c = 9.213 Å
α = 90.12°, β = 90.12°, γ = 90.07°
Fractional coordinates of all 36 atoms:
Sn: 0.044 0.956 0.500
Sn: 0.157 0.673 0.780
Sn: 0.165 0.656 0.227
Sn: 0.275 0.376 0.514
Sn: 0.376 0.275 0.014
Sn: 0.449 0.784 0.500
Sn: 0.552 0.868 0.000
Sn: 0.656 0.165 0.727
Sn: 0.673 0.157 0.280
Sn: 0.784 0.449 0.000
Sn: 0.868 0.552 0.500
Sn: 0.956 0.044 0.000
H: 0.004 0.340 0.271
H: 0.329 0.977 0.263
H: 0.340 0.004 0.771
H: 0.475 0.510 0.748
H: 0.510 0.475 0.248
H: 0.834 0.837 0.232
H: 0.837 0.834 0.732
H: 0.977 0.329 0.763
O: 0.053 0.420 0.340
O: 0.076 0.487 0.629
O: 0.239 0.852 0.624
O: 0.274 0.902 0.332
O: 0.344 0.581 0.385
O: 0.398 0.561 0.678
O: 0.420 0.053 0.840
O: 0.487 0.076 0.129
O: 0.561 0.398 0.178
O: 0.581 0.344 0.885
O: 0.744 0.980 0.875
O: 0.781 0.915 0.164
O: 0.852 0.239 0.124
O: 0.902 0.274 0.832
O: 0.915 0.781 0.664
O: 0.980 0.744 0.375

The 10 most intense peaks (10° ≤ 2θ ≤ 90°), in order of falling intensity:
| 2θ/deg | I_rel |
| --- | --- |
| 31.3 | 100.0 |
| 24.7 | 84.6 |
| 29.3 | 84.3 |
| 26.3 | 74.3 |
| 24.4 | 56.4 |
| 14.5 | 48.9 |
| 34.8 | 47.6 |
| 36.2 | 43.1 |
| 50.0 | 42.9 |
| 15.4 | 40.4 |

***

[2]
Diffraction record for Sr2SnH8O8. The XRD peak list is simulated, not measured: it uses the GGA-PBE geometry in the Materials Project and Cu Kα (λ = 1.5418 Å).
Peak positions follow from Bragg's law for the DFT cell and can differ from measured ones.

Atomic structure:
a = 6.864 Å, b = 10.508 Å, c = 6.170 Å
α = 90.00°, β = 112.22°, γ = 90.00°
Fractional coordinates of all 38 atoms:
Sr: 0.217 0.134 0.363
Sr: 0.217 0.366 0.863
Sr: 0.783 0.634 0.137
Sr: 0.783 0.866 0.637
Sn: 0.500 0.000 0.000
Sn: 0.500 0.500 0.500
H: 0.043 0.125 0.857
H: 0.043 0.375 0.357
H: 0.196 0.591 0.156
H: 0.196 0.909 0.656
H: 0.234 0.615 0.649
H: 0.234 0.885 0.149
H: 0.417 0.736 0.373
H: 0.417 0.764 0.873
H: 0.583 0.236 0.127
H: 0.583 0.264 0.627
H: 0.766 0.115 0.851
H: 0.766 0.385 0.351
H: 0.804 0.091 0.344
H: 0.804 0.409 0.844
H: 0.957 0.625 0.643
H: 0.957 0.875 0.143
O: 0.005 0.687 0.555
O: 0.005 0.813 0.055
O: 0.203 0.504 0.216
O: 0.203 0.996 0.716
O: 0.366 0.562 0.733
O: 0.366 0.938 0.233
O: 0.453 0.187 0.088
O: 0.453 0.313 0.588
O: 0.547 0.687 0.412
O: 0.547 0.813 0.912
O: 0.634 0.062 0.767
O: 0.634 0.438 0.267
O: 0.797 0.004 0.284
O: 0.797 0.496 0.784
O: 0.995 0.187 0.945
O: 0.995 0.313 0.445

The 10 most intense peaks (10° ≤ 2θ ≤ 90°), in order of falling intensity:
| 2θ/deg | I_rel |
| --- | --- |
| 26.0 | 100.0 |
| 16.3 | 92.1 |
| 30.5 | 83.2 |
| 27.8 | 70.5 |
| 29.0 | 53.0 |
| 22.0 | 52.1 |
| 38.2 | 45.9 |
| 23.7 | 44.0 |
| 29.9 | 43.0 |
| 13.9 | 38.8 |